(1)
Ba2TbAg3O6: calculated X-ray diffraction stick pattern (Cu Kα (λ = 1.5418 Å)), based on a structure optimized by DFT (GGA-PBE).

Most intense lines, 2θ from 10° to 90°, by angle:
index, d_spacing, 2θ/deg, I (rel.)
1 0 3, 2.947, 30.33, 100
1 1 0, 2.905, 30.78, 65
1 0 4, 2.511, 35.76, 24
2 0 0, 2.054, 44.08, 33
1 1 6, 1.710, 53.61, 10
2 1 3, 1.685, 54.44, 38
2 1 4, 1.590, 58.01, 12
2 2 0, 1.453, 64.10, 10
3 1 0, 1.299, 72.79, 11
3 2 3, 1.100, 88.96, 10

Crystal structure
```
data_Ba2TbAg3O6
_cell_length_a 4.109
_cell_length_b 4.109
_cell_length_c 12.686
_cell_angle_alpha 90.00
_cell_angle_beta 90.00
_cell_angle_gamma 90.00
_symmetry_space_group_name_H-M 'P 4/m m m'
_symmetry_Int_Tables_number 123
_symmetry_space_group_name_Hall '-P 4 2'
loop_
_atom_site_label
_atom_site_type_symbol
_atom_site_fract_x
_atom_site_fract_y
_atom_site_fract_z
_atom_site_occupancy
Ba1 Ba 0.000 0.000 0.203 1
Tb1 Tb 0.000 0.000 0.500 1
Ag1 Ag 0.500 0.500 0.000 1
Ag2 Ag 0.500 0.500 0.365 1
O1 O 0.000 0.500 0.388 1
O2 O 0.500 0.500 0.162 1
```


(2)
PrSm7Cd4: calculated X-ray diffraction stick pattern (Cu Kα (λ = 1.5418 Å)), based on a structure optimized by DFT (GGA-PBE).

Most intense lines, 2θ from 10° to 90°, by angle:
index, d_spacing, 2θ/deg, I (rel.)
4 0 0, 3.170, 28.15, 24
4 0 -3, 3.052, 29.26, 48
1 1 2, 2.986, 29.92, 51
0 2 0, 2.920, 30.61, 100
2 0 2, 2.870, 31.16, 28
3 1 -3, 2.851, 31.38, 42
1 1 -3, 2.741, 32.67, 23
5 1 -1, 2.589, 34.64, 76
4 2 -3, 2.110, 42.86, 34
2 2 2, 2.047, 44.25, 22

Crystal structure
```
data_PrSm7Cd4
_cell_length_a 14.964
_cell_length_b 5.840
_cell_length_c 9.917
_cell_angle_alpha 90.00
_cell_angle_beta 122.08
_cell_angle_gamma 90.00
_symmetry_space_group_name_H-M 'C 1 2/m 1'
_symmetry_Int_Tables_number 12
loop_
_symmetry_equiv_pos_as_xyz
'x,y,z'
'-x,-y,-z'
'-x,y,-z'
'x,-y,z'
'x+1/2,y+1/2,z'
'-x+1/2,-y+1/2,-z'
'-x+1/2,y+1/2,-z'
'x+1/2,-y+1/2,z'
loop_
_atom_site_label
_atom_site_type_symbol
_atom_site_fract_x
_atom_site_fract_y
_atom_site_fract_z
_atom_site_occupancy
Pr1 Pr 0.000 0.000 0.000 1
Sm1 Sm 0.000 0.500 0.000 1
Sm2 Sm 0.070 0.000 0.412 1
Sm3 Sm 0.204 0.000 0.881 1
Sm4 Sm 0.236 0.500 0.692 1
Cd1 Cd 0.040 0.500 0.712 1
Cd2 Cd 0.182 0.500 0.342 1
```


(3)
Pr3DyTm3: calculated X-ray diffraction stick pattern (Cu Kα (λ = 1.5418 Å)), based on a structure optimized by DFT (GGA-PBE).

Most intense lines, 2θ from 10° to 90°, by angle:
index, d_spacing, 2θ/deg, I (rel.)
2 1 0, 3.155, 28.29, 24
0 0 2, 2.883, 31.02, 25
2 1 1, 2.768, 32.35, 100
2 1 2, 2.128, 42.47, 16
1 4 0, 1.822, 50.08, 19
2 1 3, 1.642, 56.02, 21
1 4 2, 1.540, 60.08, 23
4 2 1, 1.522, 60.88, 16
7 0 1, 1.168, 82.63, 14
1 4 4, 1.130, 85.99, 8

Crystal structure
```
data_Pr3DyTm3
_cell_length_a 9.6385
_cell_length_b 9.6385
_cell_length_c 5.7667
_cell_angle_alpha 90.00
_cell_angle_beta 90.00
_cell_angle_gamma 120.00
_symmetry_space_group_name_H-M 'P 63/m'
_symmetry_Int_Tables_number 176
_symmetry_space_group_name_Hall '-P 6c'
loop_
_atom_site_label
_atom_site_type_symbol
_atom_site_fract_x
_atom_site_fract_y
_atom_site_fract_z
_atom_site_occupancy
Pr1 Pr 0.0507 0.2454 0.2500 1
Dy1 Dy 0.3333 0.6667 0.2500 1
Tm1 Tm 0.0958 0.4811 0.7500 1
```


(4)
AcPmPtBr: calculated X-ray diffraction stick pattern (Cu Kα (λ = 1.5418 Å)), based on a structure optimized by DFT (GGA-PBE).

Most intense lines, 2θ from 10° to 90°, by angle:
index, d_spacing, 2θ/deg, I (rel.)
0 0 3, 8.068, 10.97, 49
0 1 2, 3.559, 25.02, 27
1 0 4, 3.172, 28.13, 13
0 1 5, 2.952, 30.28, 100
1 0 7, 2.534, 35.42, 16
1 1 0, 2.150, 42.02, 45
1 0 10, 2.030, 44.65, 28
2 0 5, 1.738, 52.66, 22
1 2 5, 1.352, 69.55, 19
2 1 10, 1.217, 78.63, 11

Crystal structure
```
data_AcPmPtBr
_cell_length_a 4.3003
_cell_length_b 4.3003
_cell_length_c 24.2054
_cell_angle_alpha 90.00
_cell_angle_beta 90.00
_cell_angle_gamma 120.00
_symmetry_space_group_name_H-M 'R 3 m'
_symmetry_Int_Tables_number 160
_symmetry_space_group_name_Hall 'R 3 -2"'
loop_
_atom_site_label
_atom_site_type_symbol
_atom_site_fract_x
_atom_site_fract_y
_atom_site_fract_z
_atom_site_occupancy
Ac1 Ac 0.0000 0.0000 0.0000 1
Pm1 Pm 0.0000 0.0000 0.2027 1
Pt1 Pt 0.0000 0.0000 0.5968 1
Br1 Br 0.0000 0.0000 0.7742 1
```


(5)
Na2CeZnF8: calculated X-ray diffraction stick pattern (Cu Kα (λ = 1.5418 Å)), based on a structure optimized by DFT (GGA-PBE).

Most intense lines, 2θ from 10° to 90°, by angle:
index, d_spacing, 2θ/deg, I (rel.)
0 0 1, 8.006, 11.05, 37
0 1 0, 5.421, 16.35, 100
0 0 2, 4.003, 22.21, 44
1 0 0, 3.878, 22.93, 40
0 1 2, 3.306, 26.97, 62
1 1 0, 3.221, 27.69, 64
0 1 -2, 3.141, 28.42, 51
1 -1 0, 3.091, 28.88, 44
1 2 2, 2.012, 45.05, 26
2 0 0, 1.938, 46.88, 54

Crystal structure
```
data_Na2CeZnF8
_cell_length_a 3.882
_cell_length_b 5.434
_cell_length_c 8.017
_cell_angle_alpha 86.93
_cell_angle_beta 89.90
_cell_angle_gamma 87.51
_symmetry_space_group_name_H-M 'P -1'
_symmetry_Int_Tables_number 2
loop_
_symmetry_equiv_pos_as_xyz
'x,y,z'
'-x,-y,-z'
loop_
_atom_site_label
_atom_site_type_symbol
_atom_site_fract_x
_atom_site_fract_y
_atom_site_fract_z
_atom_site_occupancy
Na1 Na 0.005 0.032 0.220 1
Ce1 Ce 0.500 0.500 0.500 1
Zn1 Zn 0.500 0.500 0.000 1
F1 F 0.004 0.722 0.542 1
F2 F 0.108 0.731 0.029 1
F3 F 0.477 0.342 0.237 1
F4 F 0.483 0.188 0.680 1
```


(6)
HfNb4Ga5: calculated X-ray diffraction stick pattern (Cu Kα (λ = 1.5418 Å)), based on a structure optimized by DFT (GGA-PBE).

Most intense lines, 2θ from 10° to 90°, by angle:
index, d_spacing, 2θ/deg, I (rel.)
1 1 0, 3.853, 23.09, 11
0 1 3, 2.932, 30.48, 37
1 3 0, 2.441, 36.81, 31
0 4 0, 2.232, 40.42, 20
1 2 3, 2.189, 41.23, 100
2 0 0, 2.136, 42.32, 27
0 5 3, 1.548, 59.74, 11
2 4 0, 1.543, 59.95, 12
2 5 3, 1.253, 75.92, 11
3 2 3, 1.243, 76.66, 15

Crystal structure
```
data_HfNb4Ga5
_cell_length_a 4.271
_cell_length_b 8.927
_cell_length_c 9.320
_cell_angle_alpha 90.00
_cell_angle_beta 90.00
_cell_angle_gamma 90.00
_symmetry_space_group_name_H-M 'I m m m'
_symmetry_Int_Tables_number 71
_symmetry_space_group_name_Hall '-I 2 2'
loop_
_atom_site_label
_atom_site_type_symbol
_atom_site_fract_x
_atom_site_fract_y
_atom_site_fract_z
_atom_site_occupancy
Hf1 Hf 0.000 0.000 0.000 1
Nb1 Nb 0.000 0.000 0.320 1
Nb2 Nb 0.000 0.293 0.500 1
Ga1 Ga 0.000 0.278 0.180 1
Ga2 Ga 0.000 0.500 0.000 1
```


(7)
Na13Ca2: calculated X-ray diffraction stick pattern (Cu Kα (λ = 1.5418 Å)), based on a structure optimized by DFT (GGA-PBE).

Most intense lines, 2θ from 10° to 90°, by angle:
index, d_spacing, 2θ/deg, I (rel.)
1 1 3, 3.997, 22.24, 16
2 0 2, 3.799, 23.42, 18
1 0 7, 3.126, 28.55, 45
2 0 5, 3.065, 29.14, 36
2 1 1, 3.007, 29.71, 100
2 2 0, 2.315, 38.91, 18
0 3 6, 2.216, 40.72, 41
0 2 13, 1.663, 55.25, 16
3 2 7, 1.617, 56.93, 23
0 5 1, 1.600, 57.60, 19

Crystal structure
```
data_Na13Ca2
_cell_length_a 9.2594
_cell_length_b 9.2594
_cell_length_c 23.7627
_cell_angle_alpha 90.00
_cell_angle_beta 90.00
_cell_angle_gamma 120.00
_symmetry_space_group_name_H-M 'R -3 m'
_symmetry_Int_Tables_number 166
_symmetry_space_group_name_Hall '-R 3 2"'
loop_
_atom_site_label
_atom_site_type_symbol
_atom_site_fract_x
_atom_site_fract_y
_atom_site_fract_z
_atom_site_occupancy
Na1 Na 0.0000 0.0000 0.0000 1
Na2 Na 0.0732 0.5366 0.3800 1
Na3 Na 0.0834 0.5417 0.2300 1
Ca1 Ca 0.0000 0.0000 0.1583 1
```


(8)
Na3PaTe4: calculated X-ray diffraction stick pattern (Cu Kα (λ = 1.5418 Å)), based on a structure optimized by DFT (GGA-PBE).

Most intense lines, 2θ from 10° to 90°, by angle:
index, d_spacing, 2θ/deg, I (rel.)
1 0 0, 7.447, 11.88, 24
1 1 0, 5.781, 15.33, 11
0 1 1, 5.705, 15.53, 13
1 1 -1, 5.259, 16.86, 14
2 0 -2, 3.210, 27.79, 100
3 2 -1, 2.290, 39.35, 36
2 0 2, 2.250, 40.07, 37
2 4 -2, 1.865, 48.82, 12
4 0 -4, 1.605, 57.41, 11
3 2 3, 1.426, 65.47, 15

Crystal structure
```
data_Na3PaTe4
_cell_length_a 7.925
_cell_length_b 9.169
_cell_length_c 7.755
_cell_angle_alpha 90.00
_cell_angle_beta 110.00
_cell_angle_gamma 90.00
_symmetry_space_group_name_H-M 'P 1 2/c 1'
_symmetry_Int_Tables_number 13
loop_
_symmetry_equiv_pos_as_xyz
'x,y,z'
'-x,-y,-z'
'-x,y,-z+1/2'
'x,-y,z+1/2'
loop_
_atom_site_label
_atom_site_type_symbol
_atom_site_fract_x
_atom_site_fract_y
_atom_site_fract_z
_atom_site_occupancy
Na1 Na 0.000 0.111 0.250 1
Na2 Na 0.000 0.370 0.750 1
Na3 Na 0.500 0.119 0.750 1
Pa1 Pa 0.500 0.363 0.250 1
Te1 Te 0.257 0.142 0.018 1
Te2 Te 0.277 0.392 0.499 1
```


(9)
Sr12CdAg5: calculated X-ray diffraction stick pattern (Cu Kα (λ = 1.5418 Å)), based on a structure optimized by DFT (GGA-PBE).

Most intense lines, 2θ from 10° to 90°, by angle:
index, d_spacing, 2θ/deg, I (rel.)
2 2 2, 3.219, 27.71, 85
2 1 3, 3.057, 29.21, 67
1 3 2, 2.996, 29.82, 100
2 3 1, 2.928, 30.53, 82
3 2 1, 2.895, 30.89, 34
1 1 4, 2.773, 32.28, 25
4 0 0, 2.665, 33.63, 43
3 0 3, 2.647, 33.87, 30
5 3 2, 1.761, 51.93, 40
3 3 6, 1.566, 58.96, 26

Crystal structure
```
data_Sr12CdAg5
_cell_length_a 10.660
_cell_length_b 11.001
_cell_length_c 11.902
_cell_angle_alpha 90.00
_cell_angle_beta 90.00
_cell_angle_gamma 90.00
_symmetry_space_group_name_H-M 'I m m m'
_symmetry_Int_Tables_number 71
_symmetry_space_group_name_Hall '-I 2 2'
loop_
_atom_site_label
_atom_site_type_symbol
_atom_site_fract_x
_atom_site_fract_y
_atom_site_fract_z
_atom_site_occupancy
Sr1 Sr 0.000 0.190 0.242 1
Sr2 Sr 0.194 0.500 0.168 1
Sr3 Sr 0.221 0.321 0.500 1
Cd1 Cd 0.000 0.000 0.500 1
Ag1 Ag 0.000 0.000 0.000 1
Ag2 Ag 0.000 0.339 0.000 1
Ag3 Ag 0.000 0.500 0.378 1
```


(10)
Pa2NiSe6: calculated X-ray diffraction stick pattern (Cu Kα (λ = 1.5418 Å)), based on a structure optimized by DFT (GGA-PBE).

Most intense lines, 2θ from 10° to 90°, by angle:
index, d_spacing, 2θ/deg, I (rel.)
1 0 0, 5.023, 17.66, 66
1 1 0, 4.179, 21.26, 63
1 1 -2, 4.089, 21.73, 61
0 2 1, 3.475, 25.64, 75
1 2 1, 2.620, 34.23, 67
2 1 -3, 2.609, 34.38, 94
2 1 0, 2.383, 37.76, 60
0 2 3, 2.351, 38.28, 100
1 3 -1, 2.310, 38.99, 98
0 0 4, 2.258, 39.93, 65

Crystal structure
```
data_Pa2NiSe6
_cell_length_a 5.913
_cell_length_b 7.530
_cell_length_c 10.630
_cell_angle_alpha 90.00
_cell_angle_beta 121.84
_cell_angle_gamma 90.00
_symmetry_space_group_name_H-M 'P 1 21/c 1'
_symmetry_Int_Tables_number 14
loop_
_symmetry_equiv_pos_as_xyz
'x,y,z'
'-x,-y,-z'
'-x,y+1/2,-z+1/2'
'x,-y+1/2,z+1/2'
loop_
_atom_site_label
_atom_site_type_symbol
_atom_site_fract_x
_atom_site_fract_y
_atom_site_fract_z
_atom_site_occupancy
Pa1 Pa 0.161 0.129 0.247 1
Ni1 Ni 0.000 0.000 0.500 1
Se1 Se 0.106 0.168 0.949 1
Se2 Se 0.297 0.664 0.951 1
Se3 Se 0.359 0.016 0.749 1
```


(11)
AcNdDy5: calculated X-ray diffraction stick pattern (Cu Kα (λ = 1.5418 Å)), based on a structure optimized by DFT (GGA-PBE).

Most intense lines, 2θ from 10° to 90°, by angle:
index, d_spacing, 2θ/deg, I (rel.)
2 2 -2, 3.145, 28.38, 19
2 0 2, 2.880, 31.05, 53
1 3 1, 2.860, 31.27, 100
3 1 -1, 2.849, 31.40, 18
3 1 -2, 2.818, 31.76, 32
2 2 -3, 2.791, 32.07, 40
1 1 -4, 2.777, 32.23, 32
3 3 3, 1.659, 55.38, 20
0 6 0, 1.648, 55.80, 18
1 5 -4, 1.633, 56.34, 16

Crystal structure
```
data_AcNdDy5
_cell_length_a 8.965
_cell_length_b 9.886
_cell_length_c 11.578
_cell_angle_alpha 90.00
_cell_angle_beta 110.18
_cell_angle_gamma 90.00
_symmetry_space_group_name_H-M 'C 1 2/c 1'
_symmetry_Int_Tables_number 15
loop_
_symmetry_equiv_pos_as_xyz
'x,y,z'
'-x,-y,-z'
'-x,y,-z+1/2'
'x,-y,z+1/2'
'x+1/2,y+1/2,z'
'-x+1/2,-y+1/2,-z'
'-x+1/2,y+1/2,-z+1/2'
'x+1/2,-y+1/2,z+1/2'
loop_
_atom_site_label
_atom_site_type_symbol
_atom_site_fract_x
_atom_site_fract_y
_atom_site_fract_z
_atom_site_occupancy
Ac1 Ac 0.250 0.250 0.000 1
Nd1 Nd 0.000 0.234 0.250 1
Dy1 Dy 0.000 0.425 0.750 1
Dy2 Dy 0.127 0.076 0.667 1
Dy3 Dy 0.168 0.396 0.535 1
```


(12)
Pm2Dy2Y2Ho: calculated X-ray diffraction stick pattern (Cu Kα (λ = 1.5418 Å)), based on a structure optimized by DFT (GGA-PBE).

Most intense lines, 2θ from 10° to 90°, by angle:
index, d_spacing, 2θ/deg, I (rel.)
1 0 1, 4.845, 18.31, 3
0 1 2, 4.583, 19.37, 1
1 1 0, 2.853, 31.35, 100
0 1 8, 2.600, 34.50, 2
0 2 7, 2.018, 44.93, 18
3 0 0, 1.647, 55.80, 38
2 2 0, 1.427, 65.42, 12
1 1 15, 1.416, 66.00, 1
1 3 7, 1.276, 74.33, 16
4 0 7, 1.165, 82.87, 4

Crystal structure
```
data_Pm2Dy2Y2Ho
_cell_length_a 5.7079
_cell_length_b 5.7079
_cell_length_c 24.4531
_cell_angle_alpha 90.00
_cell_angle_beta 90.00
_cell_angle_gamma 120.00
_symmetry_space_group_name_H-M 'R -3 m'
_symmetry_Int_Tables_number 166
_symmetry_space_group_name_Hall '-R 3 2"'
loop_
_atom_site_label
_atom_site_type_symbol
_atom_site_fract_x
_atom_site_fract_y
_atom_site_fract_z
_atom_site_occupancy
Pm1 Pm 0.0000 0.0000 0.1391 1
Dy1 Dy 0.0000 0.0000 0.2835 1
Y1 Y 0.0000 0.0000 0.4255 1
Ho1 Ho 0.0000 0.0000 0.0000 1
```


Question: Which formula does entry 12 have?
Answer: Pm2Dy2Y2Ho